CsMnBiF6: computed powder diffraction line list (λ = 1.5418 Å (Cu Kα)), based on the GGA+U geometry in Alexandria.
Neutral-atom scattering factors, no anomalous dispersion.

Atomic structure:
```
data_CsMnBiF6
_cell_length_a 7.669
_cell_length_b 8.081
_cell_length_c 10.879
_cell_angle_alpha 90.00
_cell_angle_beta 90.00
_cell_angle_gamma 90.00
_symmetry_space_group_name_H-M 'I m m a'
_symmetry_Int_Tables_number 74
_symmetry_space_group_name_Hall '-I 2b 2'
loop_
_atom_site_label
_atom_site_type_symbol
_atom_site_fract_x
_atom_site_fract_y
_atom_site_fract_z
_atom_site_occupancy
Cs1 Cs 0.000 0.250 0.098 1
Mn1 Mn 0.250 0.250 0.750 1
Bi1 Bi 0.000 0.000 0.500 1
F1 F 0.000 0.250 0.395 1
F2 F 0.000 0.250 0.672 1
F3 F 0.246 0.054 0.885 1
```

Peak list (10 most intense, 15° ≤ 2θ ≤ 90°, low angle first)
d/Å	I_rel	(hkl)
5.439	35	0 0 2
3.889	25	1 1 2
3.396	100	1 2 1
3.304	43	0 1 3
3.278	26	1 0 3
3.243	30	0 2 2
3.134	42	2 0 2
2.119	29	3 2 1
2.092	25	1 0 5
1.945	51	2 2 4